(1)
This entry pairs a crystal structure of TiNb2In2Se6 with its theoretical powder diffraction line list. Radiation: a wavelength of 1.5418 Å. Structure: a DFT-relaxed cell (GGA-PBE, Alexandria).

Peak list (12 most intense, 10° ≤ 2θ ≤ 90°, low angle first)
| 2theta | intensity | (hkl) |
| --- | --- | --- |
| 11.15 | 18 | 0 0 1 |
| 17.93 | 10 | 1 1 -1 |
| 22.67 | 10 | 1 1 1 |
| 32.27 | 50 | 2 0 -2 |
| 32.54 | 100 | 1 3 1 |
| 33.92 | 14 | 0 0 3 |
| 41.46 | 37 | 1 3 -3 |
| 43.05 | 20 | 2 0 2 |
| 45.72 | 10 | 0 0 4 |
| 50.11 | 14 | 0 6 0 |
| 51.12 | 28 | 3 3 -1 |
| 60.87 | 12 | 2 6 -2 |

Structure:
```
data_TiNb2In2Se6
_space_group_name_H-M_alt 'C 1 2/m 1'
_space_group_IT_number 12
_cell_length_a 6.156
_cell_length_b 10.922
_cell_length_c 8.275
_cell_angle_alpha 90.00
_cell_angle_beta 106.43
_cell_angle_gamma 90.00
loop_
_space_group_symop_operation_xyz
'x,y,z'
'-x,-y,-z'
'-x,y,-z'
'x,-y,z'
'x+1/2,y+1/2,z'
'-x+1/2,-y+1/2,-z'
'-x+1/2,y+1/2,-z'
'x+1/2,-y+1/2,z'
loop_
_atom_site_label
_atom_site_fract_x
_atom_site_fract_y
_atom_site_fract_z
Ti1 0.000 0.000 0.000
Nb1 0.000 0.310 0.000
In1 0.000 0.157 0.500
Se1 0.232 0.500 0.187
Se2 0.250 0.160 0.211
```

(2)
This entry pairs a crystal structure of Nb5In2Si2 with its theoretical powder diffraction line list. Radiation: a wavelength of 1.5418 Å. Structure: a DFT-relaxed cell (GGA-PBE, Alexandria).

Peak list (12 most intense, 10° ≤ 2θ ≤ 90°, low angle first)
| 2theta | intensity | (hkl) |
| --- | --- | --- |
| 28.96 | 25 | 0 2 1 |
| 29.99 | 21 | 1 1 2 |
| 35.02 | 18 | 3 1 2 |
| 36.26 | 52 | 4 2 0 |
| 36.66 | 100 | 4 0 2 |
| 37.10 | 44 | 0 2 2 |
| 38.69 | 37 | 4 2 1 |
| 41.85 | 27 | 1 3 1 |
| 42.50 | 26 | 1 1 3 |
| 43.57 | 23 | 5 1 2 |
| 66.60 | 26 | 5 3 3 |
| 74.16 | 16 | 9 3 1 |

Structure:
```
data_Nb5In2Si2
_space_group_name_H-M_alt 'C m c e'
_space_group_IT_number 64
_space_group_name_Hall '-C 2ac 2'
_cell_length_a 14.195
_cell_length_b 6.920
_cell_length_c 6.790
_cell_angle_alpha 90.00
_cell_angle_beta 90.00
_cell_angle_gamma 90.00
loop_
_atom_site_label
_atom_site_fract_x
_atom_site_fract_y
_atom_site_fract_z
Nb1 0.000 0.000 0.000
Nb2 0.114 0.171 0.326
In1 0.222 0.000 0.000
Si1 0.000 0.123 0.623
```

(3)
This entry pairs a crystal structure of NbInSn with its theoretical powder diffraction line list. Radiation: a wavelength of 1.5418 Å. Structure: a DFT-relaxed cell (GGA-PBE, Alexandria).

Peak list (12 most intense, 10° ≤ 2θ ≤ 90°, low angle first)
| 2theta | intensity | (hkl) |
| --- | --- | --- |
| 27.03 | 24 | 0 2 2 |
| 28.68 | 39 | 0 4 0 |
| 28.91 | 34 | 1 3 1 |
| 30.96 | 36 | 0 4 1 |
| 35.27 | 28 | 1 3 2 |
| 36.29 | 93 | 2 2 1 |
| 37.57 | 100 | 0 2 3 |
| 38.93 | 67 | 2 0 2 |
| 41.20 | 55 | 1 5 1 |
| 56.16 | 21 | 2 4 3 |
| 59.40 | 24 | 1 7 2 |
| 77.40 | 24 | 4 2 3 |

Structure:
```
data_NbInSn
_space_group_name_H-M_alt 'C m c e'
_space_group_IT_number 64
_space_group_name_Hall '-C 2ac 2'
_cell_length_a 5.754
_cell_length_b 12.440
_cell_length_c 7.782
_cell_angle_alpha 90.00
_cell_angle_beta 90.00
_cell_angle_gamma 90.00
loop_
_atom_site_label
_atom_site_fract_x
_atom_site_fract_y
_atom_site_fract_z
Nb1 0.000 0.098 0.078
In1 0.250 0.080 0.750
Sn1 0.000 0.178 0.426
```